[1]
For Mg9Si5, the GGA-PBE geometry in the Materials Project gives the theoretical PXRD pattern in this record (Cu Ka).
Peak positions follow from Bragg's law for the DFT cell and can differ from measured ones.

Most intense lines, 10 to 90 degrees two-theta, sorted by position:
| d (Å) | I (rel.) | hkl |
| --- | --- | --- |
| 2.660 | 30 | 1 1 -4 |
| 2.490 | 30 | 2 1 1 |
| 2.478 | 45 | 2 1 0 |
| 2.394 | 78 | 0 0 6 |
| 2.382 | 82 | -1 2 3 |
| 2.364 | 100 | 1 -2 3 |
| 2.350 | 31 | 1 3 3 |
| 2.315 | 24 | 2 1 3 |
| 2.280 | 26 | 1 3 -2 |
| 2.116 | 25 | 1 3 -3 |

Cell and atoms:
Cell: 5.0069 7.9387 14.5029 Å, 83.90 83.62 76.56°
Space group P1 (No. 1)
Unique sites:
Mg 0.0000 0.0000 0.0000 x1
Mg 0.0022 0.6074 0.0375 x1
Mg 0.2101 0.4334 0.4811 x1
Mg 0.2461 0.6233 0.6491 x1
Mg 0.2600 0.3603 0.8331 x1
Mg 0.3196 0.7347 0.3416 x1
Mg 0.3766 0.9703 0.5199 x1
Mg 0.3933 0.9948 0.8011 x1
Mg 0.4326 0.9579 0.1476 x1
Mg 0.4552 0.5510 0.1468 x1
Mg 0.7010 0.3840 0.9566 x1
Mg 0.7462 0.9496 0.3393 x1
Mg 0.7814 0.2208 0.4737 x1
Mg 0.8049 0.3851 0.6690 x1
Mg 0.8610 0.1978 0.1746 x1
Mg 0.8675 0.9979 0.6626 x1
Mg 0.9219 0.5013 0.2958 x1
Mg 0.9953 0.7677 0.8440 x1
Si 0.2172 0.1182 0.3352 x1
Si 0.2531 0.2707 0.0434 x1
Si 0.3613 0.2345 0.6345 x1
Si 0.4735 0.3507 0.3125 x1
Si 0.5029 0.7366 0.9617 x1
Si 0.5743 0.6405 0.7898 x1
Si 0.6766 0.6002 0.4824 x1
Si 0.8380 0.1354 0.8314 x1
Si 0.9344 0.8183 0.5065 x1
Si 0.9663 0.8060 0.1808 x1

---

[2]
For MgVInS4, the GGA-PBE geometry in the Materials Project gives the theoretical PXRD pattern in this record (Cu Ka).
Peak positions follow from Bragg's law for the DFT cell and can differ from measured ones.

Most intense lines, 10 to 90 degrees two-theta, sorted by position:
| d (Å) | I (rel.) | hkl |
| --- | --- | --- |
| 6.167 | 32 | 0 1 1 |
| 6.039 | 100 | 1 0 1 |
| 3.240 | 38 | 1 0 3 |
| 3.183 | 78 | 1 2 1 |
| 2.715 | 47 | 0 0 4 |
| 2.608 | 90 | 2 2 0 |
| 1.999 | 22 | 3 2 1 |
| 1.881 | 84 | 2 2 4 |
| 1.873 | 21 | 0 4 0 |
| 1.817 | 30 | 4 0 0 |

Cell and atoms:
Cell: 7.2655 7.4914 10.8608 Å, 90.00 90.00 90.00°
Space group Imma (No. 74)
Unique sites:
Mg 0.0000 0.2500 0.1257 x4
V 0.2500 0.2500 0.7500 x4
In 0.0000 0.0000 0.5000 x4
S 0.0000 0.0229 0.7455 x8
S 0.2470 0.2500 0.5242 x8

---

[3]
For Ba6Tb2Al4O15, the GGA-PBE geometry in the Materials Project gives the theoretical PXRD pattern in this record (Cu Ka).
Peak positions follow from Bragg's law for the DFT cell and can differ from measured ones.

Most intense lines, 10 to 90 degrees two-theta, sorted by position:
| d (Å) | I (rel.) | hkl |
| --- | --- | --- |
| 4.642 | 16 | 1 1 -1 |
| 3.091 | 53 | 0 0 6 |
| 2.987 | 52 | 0 2 0 |
| 2.945 | 100 | 2 1 -3 |
| 2.891 | 94 | 2 1 3 |
| 2.148 | 50 | 0 2 6 |
| 1.987 | 22 | 4 0 0 |
| 1.767 | 19 | 2 1 -9 |
| 1.732 | 16 | 2 1 9 |
| 1.716 | 16 | 2 3 -3 |

Cell and atoms:
Cell: 7.9526 5.9733 18.5530 Å, 90.00 91.53 90.00°
Space group P2/c (No. 13)
Unique sites:
Ba 0.0000 0.1700 0.2500 x2
Ba 0.0020 0.2580 0.9177 x4
Ba 0.4691 0.2446 0.9104 x4
Ba 0.5000 0.2251 0.2500 x2
Tb 0.2514 0.2460 0.0899 x4
Al 0.2525 0.2509 0.4438 x4
Al 0.2794 0.2720 0.7327 x4
O 0.0404 0.2538 0.4076 x4
O 0.1934 0.1861 0.8134 x4
O 0.2302 0.4697 0.1893 x4
O 0.2529 0.0512 0.6672 x4
O 0.2620 0.4897 0.5033 x4
O 0.2639 0.0048 0.4994 x4
O 0.4431 0.2596 0.3937 x4
O 0.5000 0.2900 0.7500 x2

---

[4]
For Na3SO4F, the GGA-PBE geometry in the Materials Project gives the theoretical PXRD pattern in this record (Cu Ka).
Peak positions follow from Bragg's law for the DFT cell and can differ from measured ones.

Most intense lines, 10 to 90 degrees two-theta, sorted by position:
| d (Å) | I (rel.) | hkl |
| --- | --- | --- |
| 5.760 | 100 | 1 0 0 |
| 4.073 | 41 | 1 1 0 |
| 3.326 | 17 | 1 1 1 |
| 2.880 | 29 | 2 0 0 |
| 2.352 | 12 | 2 1 1 |
| 2.037 | 30 | 2 2 0 |
| 1.920 | 11 | 2 2 1 |
| 1.737 | 13 | 3 1 1 |
| 1.663 | 10 | 2 2 2 |
| 1.288 | 12 | 4 2 0 |

Cell and atoms:
Cell: 5.7603 5.7603 5.7603 Å, 90.00 90.00 90.00°
Space group P-43m (No. 215)
Unique sites:
Na 0.0000 0.0000 0.5000 x3
S 0.0000 0.0000 0.0000 x1
O 0.1488 0.1488 0.8512 x4
F 0.5000 0.5000 0.5000 x1

---

Question: Which formula does entry 1 have?
Answer: Mg9Si5